Ca2Mn2O5: computed XRD peak list (Cu Kα, 1.54184 Å), based on a structure optimized by DFT (GGA+U).
Neutral-atom scattering factors, no anomalous dispersion.

The 10 most intense peaks (10 to 90 degrees two-theta), in order of rising 2θ:
- 2θ = 11.8°, 7.518 Å, I = 18
- 2θ = 22.7°, 3.916 Å, I = 13
- 2θ = 31.9°, 2.806 Å, I = 41
- 2θ = 32.7°, 2.735 Å, I = 48
- 2θ = 33.0°, 2.712 Å, I = 100
- 2θ = 42.8°, 2.111 Å, I = 15
- 2θ = 46.3°, 1.963 Å, I = 22
- 2θ = 46.5°, 1.954 Å, I = 23
- 2θ = 48.4°, 1.880 Å, I = 21
- 2θ = 59.7°, 1.549 Å, I = 11

Cell and atoms:
Cell: 8.4742 8.4742 5.4704 Å, 108.75 108.75 125.04°
Element x y z (fractional)
Ca 0.1415 0.8585 0.0000
Ca 0.3091 0.5972 0.9690
Ca 0.5972 0.3091 0.9690
Ca 0.8585 0.1415 0.0000
Mn 0.2305 0.7328 0.4983
Mn 0.5352 0.5352 0.4932
Mn 0.7328 0.2305 0.4983
Mn 0.9071 0.9071 0.3782
O 0.1617 0.9220 0.5931
O 0.3048 0.5390 0.4311
O 0.4874 0.9692 0.4925
O 0.5032 0.9653 0.9984
O 0.5390 0.3048 0.4311
O 0.5589 0.5589 0.1547
O 0.8594 0.8594 0.9538
O 0.9220 0.1617 0.5931
O 0.9653 0.5032 0.9984
O 0.9692 0.4874 0.4925